[1]
Structure and computed powder diffractogram of Zr18Co5Sn4 (a cell relaxed with GGA-PBE; Cu Kα).
No peak broadening, texture or thermal motion is included.

Atomic structure:
```
data_Zr18Co5Sn4
_cell_length_a 7.9688
_cell_length_b 3.3962
_cell_length_c 21.0413
_cell_angle_alpha 90.00
_cell_angle_beta 100.88
_cell_angle_gamma 90.00
_symmetry_space_group_name_H-M 'P 1'
_symmetry_Int_Tables_number 1
loop_
_symmetry_equiv_pos_as_xyz
'x,y,z'
loop_
_atom_site_label
_atom_site_type_symbol
_atom_site_fract_x
_atom_site_fract_y
_atom_site_fract_z
_atom_site_occupancy
Zr1 Zr 0.0000 0.0000 0.0000 1
Zr2 Zr 0.0004 0.0000 0.8295 1
Zr3 Zr 0.9997 0.5000 0.6857 1
Zr4 Zr 0.0050 0.5000 0.4286 1
Zr5 Zr 0.2639 0.5000 0.9367 1
Zr6 Zr 0.2677 0.0000 0.2176 1
Zr7 Zr 0.3303 0.5000 0.3480 1
Zr8 Zr 0.3324 0.5000 0.0955 1
Zr9 Zr 0.3514 0.0000 0.4806 1
Zr10 Zr 0.3588 0.0000 0.6838 1
Zr11 Zr 0.5920 0.5000 0.6010 1
Zr12 Zr 0.6047 0.0000 0.8883 1
Zr13 Zr 0.6603 0.0000 0.1615 1
Zr14 Zr 0.6656 0.5000 0.0197 1
Zr15 Zr 0.6695 0.0000 0.3321 1
Zr16 Zr 0.6729 0.5000 0.7644 1
Zr17 Zr 0.8829 0.0000 0.5514 1
Zr18 Zr 0.9307 0.5000 0.2667 1
Co1 Co 0.0862 0.0000 0.3476 1
Co2 Co 0.4246 0.0000 0.0170 1
Co3 Co 0.5325 0.5000 0.2371 1
Co4 Co 0.7568 0.0000 0.6841 1
Co5 Co 0.8649 0.5000 0.9063 1
Sn1 Sn 0.1966 0.5000 0.5716 1
Sn2 Sn 0.3114 0.5000 0.7996 1
Sn3 Sn 0.6449 0.5000 0.4549 1
Sn4 Sn 0.9759 0.5000 0.1273 1
```

Main lines, low angle first (2θ = 10–80°):
2θ = 34.4°, intensity 89.6
2θ = 34.7°, intensity 100.0
2θ = 37.2°, intensity 88.8
2θ = 39.2°, intensity 42.4
2θ = 43.8°, intensity 47.1
2θ = 54.0°, intensity 20.0
2θ = 55.1°, intensity 13.8
2θ = 61.6°, intensity 12.3
2θ = 65.0°, intensity 31.6
2θ = 65.6°, intensity 26.6


[2]
Structure and computed powder diffractogram of SrCo2 (a cell relaxed with GGA-PBE; Cu Kα).
No peak broadening, texture or thermal motion is included.

Atomic structure:
```
data_SrCo2
_cell_length_a 5.8719
_cell_length_b 5.8719
_cell_length_c 5.0144
_cell_angle_alpha 90.00
_cell_angle_beta 90.00
_cell_angle_gamma 139.09
_symmetry_space_group_name_H-M 'P 1'
_symmetry_Int_Tables_number 1
loop_
_symmetry_equiv_pos_as_xyz
'x,y,z'
loop_
_atom_site_label
_atom_site_type_symbol
_atom_site_fract_x
_atom_site_fract_y
_atom_site_fract_z
_atom_site_occupancy
Sr1 Sr 0.2119 0.7881 0.7500 1
Sr2 Sr 0.7881 0.2119 0.2500 1
Co1 Co 0.0414 0.9586 0.2500 1
Co2 Co 0.5000 0.5000 0.0000 1
Co3 Co 0.5000 0.5000 0.5000 1
Co4 Co 0.9586 0.0414 0.7500 1
```

Main lines, low angle first (2θ = 10–80°):
2θ = 16.1°, intensity 24.4
2θ = 29.3°, intensity 69.8
2θ = 32.6°, intensity 57.0
2θ = 32.7°, intensity 30.9
2θ = 37.3°, intensity 59.1
2θ = 37.5°, intensity 89.6
2θ = 43.1°, intensity 100.0
2θ = 44.1°, intensity 51.4
2θ = 59.1°, intensity 29.3
2θ = 60.3°, intensity 53.6


[3]
Structure and computed powder diffractogram of SrCo4 (a cell relaxed with GGA-PBE; Cu Kα).
No peak broadening, texture or thermal motion is included.

Atomic structure:
```
data_SrCo4
_cell_length_a 5.3809
_cell_length_b 5.3809
_cell_length_c 5.3809
_cell_angle_alpha 93.63
_cell_angle_beta 93.63
_cell_angle_gamma 150.84
_symmetry_space_group_name_H-M 'P 1'
_symmetry_Int_Tables_number 1
loop_
_symmetry_equiv_pos_as_xyz
'x,y,z'
loop_
_atom_site_label
_atom_site_type_symbol
_atom_site_fract_x
_atom_site_fract_y
_atom_site_fract_z
_atom_site_occupancy
Sr1 Sr 0.0000 0.0000 0.0000 1
Co1 Co 0.1413 0.3634 0.5047 1
Co2 Co 0.3634 0.8587 0.2221 1
Co3 Co 0.6366 0.1413 0.7779 1
Co4 Co 0.8587 0.6366 0.4953 1
```

Main lines, low angle first (2θ = 10–80°):
2θ = 34.4°, intensity 10.1
2θ = 35.3°, intensity 15.0
2θ = 38.7°, intensity 81.7
2θ = 43.2°, intensity 100.0
2θ = 55.8°, intensity 8.9
2θ = 56.4°, intensity 21.6
2θ = 62.3°, intensity 8.9
2θ = 72.6°, intensity 10.5
2θ = 73.1°, intensity 8.0
2θ = 78.3°, intensity 20.7


[4]
Structure and computed powder diffractogram of Sr3Co (a cell relaxed with GGA-PBE; Cu Kα).
No peak broadening, texture or thermal motion is included.

Atomic structure:
```
data_Sr3Co
_cell_length_a 3.8513
_cell_length_b 3.8434
_cell_length_c 10.2775
_cell_angle_alpha 90.00
_cell_angle_beta 90.05
_cell_angle_gamma 90.00
_symmetry_space_group_name_H-M 'P 1'
_symmetry_Int_Tables_number 1
loop_
_symmetry_equiv_pos_as_xyz
'x,y,z'
loop_
_atom_site_label
_atom_site_type_symbol
_atom_site_fract_x
_atom_site_fract_y
_atom_site_fract_z
_atom_site_occupancy
Sr1 Sr 0.0000 0.0000 0.0000 1
Sr2 Sr 0.4997 0.5000 0.3300 1
Sr3 Sr 0.5003 0.5000 0.6700 1
Co1 Co 0.0000 0.0000 0.5000 1
```

Main lines, low angle first (2θ = 10–80°):
2θ = 24.7°, intensity 30.3
2θ = 26.0°, intensity 22.2
2θ = 29.0°, intensity 100.0
2θ = 32.9°, intensity 63.5
2θ = 35.1°, intensity 22.5
2θ = 42.3°, intensity 29.8
2θ = 42.4°, intensity 23.9
2θ = 56.4°, intensity 29.4
2θ = 64.3°, intensity 17.5
2θ = 65.2°, intensity 11.9


[5]
Structure and computed powder diffractogram of SrCoTc (a cell relaxed with GGA-PBE; Cu Kα).
No peak broadening, texture or thermal motion is included.

Atomic structure:
```
data_SrCoTc
_cell_length_a 3.9319
_cell_length_b 3.9319
_cell_length_c 5.0233
_cell_angle_alpha 90.00
_cell_angle_beta 90.00
_cell_angle_gamma 120.00
_symmetry_space_group_name_H-M 'P 1'
_symmetry_Int_Tables_number 1
loop_
_symmetry_equiv_pos_as_xyz
'x,y,z'
loop_
_atom_site_label
_atom_site_type_symbol
_atom_site_fract_x
_atom_site_fract_y
_atom_site_fract_z
_atom_site_occupancy
Sr1 Sr 0.0000 0.0000 0.0000 1
Co1 Co 0.3333 0.6667 0.5000 1
Tc1 Tc 0.6667 0.3333 0.5000 1
```

Main lines, low angle first (2θ = 10–80°):
2θ = 17.7°, intensity 14.0
2θ = 26.2°, intensity 3.1
2θ = 31.7°, intensity 100.0
2θ = 35.7°, intensity 25.4
2θ = 46.2°, intensity 36.2
2θ = 49.8°, intensity 4.9
2θ = 57.1°, intensity 18.0
2θ = 59.7°, intensity 32.8
2θ = 61.7°, intensity 14.2
2θ = 76.4°, intensity 15.1


[6]
Structure and computed powder diffractogram of SrZnCo2 (a cell relaxed with GGA-PBE; Cu Kα).
No peak broadening, texture or thermal motion is included.

Atomic structure:
```
data_SrZnCo2
_cell_length_a 5.9250
_cell_length_b 5.9250
_cell_length_c 5.9250
_cell_angle_alpha 40.59
_cell_angle_beta 40.59
_cell_angle_gamma 40.59
_symmetry_space_group_name_H-M 'P 1'
_symmetry_Int_Tables_number 1
loop_
_symmetry_equiv_pos_as_xyz
'x,y,z'
loop_
_atom_site_label
_atom_site_type_symbol
_atom_site_fract_x
_atom_site_fract_y
_atom_site_fract_z
_atom_site_occupancy
Sr1 Sr 0.0000 0.0000 0.0000 1
Zn1 Zn 0.8109 0.8109 0.8109 1
Co1 Co 0.1909 0.1909 0.1909 1
Co2 Co 0.5156 0.5156 0.5156 1
```

Main lines, low angle first (2θ = 10–80°):
2θ = 16.3°, intensity 48.9
2θ = 25.6°, intensity 31.9
2θ = 33.0°, intensity 48.9
2θ = 33.4°, intensity 67.9
2θ = 37.4°, intensity 52.5
2θ = 44.1°, intensity 100.0
2θ = 47.3°, intensity 17.0
2θ = 56.1°, intensity 60.4
2θ = 56.4°, intensity 14.4
2θ = 62.7°, intensity 23.5


[7]
Structure and computed powder diffractogram of Ta5Co4 (a cell relaxed with GGA-PBE; Cu Kα).
No peak broadening, texture or thermal motion is included.

Atomic structure:
```
data_Ta5Co4
_cell_length_a 7.8054
_cell_length_b 7.8054
_cell_length_c 5.1119
_cell_angle_alpha 90.00
_cell_angle_beta 90.00
_cell_angle_gamma 120.00
_symmetry_space_group_name_H-M 'P 1'
_symmetry_Int_Tables_number 1
loop_
_symmetry_equiv_pos_as_xyz
'x,y,z'
loop_
_atom_site_label
_atom_site_type_symbol
_atom_site_fract_x
_atom_site_fract_y
_atom_site_fract_z
_atom_site_occupancy
Ta1 Ta 0.0000 0.2731 0.2500 1
Ta2 Ta 0.0000 0.7269 0.7500 1
Ta3 Ta 0.2731 0.0000 0.2500 1
Ta4 Ta 0.2731 0.2731 0.7500 1
Ta5 Ta 0.3333 0.6667 0.0000 1
Ta6 Ta 0.3333 0.6667 0.5000 1
Ta7 Ta 0.6667 0.3333 0.0000 1
Ta8 Ta 0.6667 0.3333 0.5000 1
Ta9 Ta 0.7269 0.0000 0.7500 1
Ta10 Ta 0.7269 0.7269 0.2500 1
Co1 Co 0.0000 0.0000 0.0000 1
Co2 Co 0.0000 0.0000 0.5000 1
Co3 Co 0.0000 0.4116 0.7500 1
Co4 Co 0.0000 0.5884 0.2500 1
Co5 Co 0.4116 0.0000 0.7500 1
Co6 Co 0.4116 0.4116 0.2500 1
Co7 Co 0.5884 0.0000 0.2500 1
Co8 Co 0.5884 0.5884 0.7500 1
```

Main lines, low angle first (2θ = 10–80°):
2θ = 28.8°, intensity 42.7
2θ = 35.1°, intensity 26.2
2θ = 39.4°, intensity 64.9
2θ = 40.0°, intensity 76.2
2θ = 42.3°, intensity 100.0
2θ = 59.6°, intensity 29.3
2θ = 62.6°, intensity 13.5
2θ = 65.9°, intensity 17.4
2θ = 66.3°, intensity 17.7
2θ = 74.2°, intensity 26.1


[8]
Structure and computed powder diffractogram of TaCo6 (a cell relaxed with GGA-PBE; Cu Kα).
No peak broadening, texture or thermal motion is included.

Atomic structure:
```
data_TaCo6
_cell_length_a 7.5756
_cell_length_b 4.6165
_cell_length_c 9.5528
_cell_angle_alpha 90.00
_cell_angle_beta 90.00
_cell_angle_gamma 90.00
_symmetry_space_group_name_H-M 'P 1'
_symmetry_Int_Tables_number 1
loop_
_symmetry_equiv_pos_as_xyz
'x,y,z'
loop_
_atom_site_label
_atom_site_type_symbol
_atom_site_fract_x
_atom_site_fract_y
_atom_site_fract_z
_atom_site_occupancy
Ta1 Ta 0.2458 0.2500 0.0616 1
Ta2 Ta 0.2542 0.7500 0.5616 1
Ta3 Ta 0.7458 0.2500 0.4384 1
Ta4 Ta 0.7542 0.7500 0.9384 1
Co1 Co 0.0526 0.7500 0.0801 1
Co2 Co 0.0690 0.0098 0.3069 1
Co3 Co 0.0690 0.4902 0.3069 1
Co4 Co 0.0998 0.2500 0.5217 1
Co5 Co 0.1373 0.7500 0.8491 1
Co6 Co 0.1861 0.2500 0.7572 1
Co7 Co 0.3139 0.7500 0.2572 1
Co8 Co 0.3627 0.2500 0.3491 1
Co9 Co 0.4002 0.7500 0.0217 1
Co10 Co 0.4310 0.5098 0.8069 1
Co11 Co 0.4310 0.9902 0.8069 1
Co12 Co 0.4474 0.2500 0.5801 1
Co13 Co 0.5526 0.7500 0.4199 1
Co14 Co 0.5690 0.0098 0.1931 1
Co15 Co 0.5690 0.4902 0.1931 1
Co16 Co 0.5998 0.2500 0.9783 1
Co17 Co 0.6373 0.7500 0.6509 1
Co18 Co 0.6861 0.2500 0.7428 1
Co19 Co 0.8139 0.7500 0.2428 1
Co20 Co 0.8627 0.2500 0.1509 1
Co21 Co 0.9002 0.7500 0.4783 1
Co22 Co 0.9310 0.5098 0.6931 1
Co23 Co 0.9310 0.9902 0.6931 1
Co24 Co 0.9474 0.2500 0.9199 1
```

Main lines, low angle first (2θ = 10–80°):
2θ = 24.4°, intensity 18.3
2θ = 34.2°, intensity 13.1
2θ = 39.0°, intensity 18.0
2θ = 39.6°, intensity 35.2
2θ = 41.9°, intensity 100.0
2θ = 43.5°, intensity 15.3
2θ = 46.0°, intensity 14.3
2θ = 47.1°, intensity 12.5
2θ = 49.2°, intensity 16.9
2θ = 72.6°, intensity 17.5